Ca3Ir3N5: computed powder X-ray diffraction pattern (Cu Kα), based on a structure optimized by DFT (GGA-PBE).

Structure:
```
Ca3Ir3N5
1.0
6.6671 0.0000 0.0000
1.5698 6.5303 0.0000
2.5321 1.7329 7.6053
Ca Ir N
6 6 10
Direct
0.0632 0.1536 0.2892
0.1422 0.3280 0.6516
0.4350 0.8605 0.8893
0.5650 0.1395 0.1107
0.8578 0.6720 0.3484
0.9368 0.8464 0.7108
0.2147 0.5011 0.9562
0.3939 0.8527 0.5295
0.3999 0.6646 0.2626
0.6001 0.3354 0.7374
0.6061 0.1473 0.4705
0.7853 0.4989 0.0438
0.1606 0.7777 0.4337
0.2159 0.6123 0.1390
0.3223 0.2140 0.9035
0.3410 0.1561 0.3981
0.3478 0.5632 0.6938
0.6522 0.4368 0.3062
0.6590 0.8439 0.6019
0.6777 0.7860 0.0965
0.7841 0.3877 0.8610
0.8394 0.2223 0.5663
```

Peak list (12 most intense, 5 to 70 degrees two-theta, low angle first)
hkl  two_theta  d [Å]  I/Imax
0 1 0  13.9  6.367  35
1 0 0  14.2  6.258  88
0 1 1  16.0  5.523  25
0 1 -1  20.1  4.422  100
1 -1 0  21.5  4.140  31
1 1 2  23.7  3.755  40
0 2 -1  32.8  2.729  61
2 -1 0  33.9  2.644  60
1 0 3  34.5  2.598  48
0 1 3  35.1  2.559  38
2 1 -1  35.8  2.508  38
-1 1 3  42.3  2.135  34